This entry pairs a crystal structure of NaFeW2O8 with its theoretical XRD peak list. Radiation: λ = 1.5418 Å (Cu Kα). Structure: a DFT-relaxed cell (GGA+U, Alexandria).
Kinematic intensities with the Lorentz-polarization factor, no thermal factor.

Cell: 10.023 5.826 5.078 Å, 90.00 90.93 90.00°
Element x y z (fractional)
Na 0.000 0.187 0.250
Na 0.000 0.813 0.750
Fe 0.500 0.161 0.250
Fe 0.500 0.839 0.750
W 0.264 0.324 0.740
W 0.264 0.676 0.240
W 0.736 0.324 0.760
W 0.736 0.676 0.260
O 0.146 0.123 0.621
O 0.146 0.877 0.121
O 0.171 0.409 0.052
O 0.171 0.591 0.552
O 0.375 0.375 0.422
O 0.375 0.625 0.922
O 0.393 0.125 0.908
O 0.393 0.875 0.408
O 0.607 0.125 0.592
O 0.607 0.875 0.092
O 0.625 0.375 0.078
O 0.625 0.625 0.578
O 0.829 0.409 0.448
O 0.829 0.591 0.948
O 0.854 0.123 0.879
O 0.854 0.877 0.379

Peak list (6 most intense, 5 to 70 degrees two-theta, low angle first)
- (2 0 0), d = 5.011 Å, 2θ = 17.7°, intensity 94
- (0 1 1), d = 3.828 Å, 2θ = 23.2°, intensity 80
- (2 1 0), d = 3.799 Å, 2θ = 23.4°, intensity 54
- (2 1 -1), d = 3.060 Å, 2θ = 29.2°, intensity 100
- (2 1 1), d = 3.024 Å, 2θ = 29.5°, intensity 100
- (4 0 2), d = 1.771 Å, 2θ = 51.6°, intensity 38